Starting from a structure optimized by DFT (GGA-PBE), the X-ray diffraction stick pattern of MgPb5 was computed for Cu Kα.
Intensities are scaled so that the largest is 100.

Main lines, low angle first (2θ = 10–90°):
2θ/deg  Rel. int.  hkl
21.5  26  1 1 2
27.1  87  2 1 1
32.5  39  1 1 4
33.6  100  2 1 3
36.6  31  2 0 4
37.3  56  3 1 0
56.1  24  4 0 4
57.1  29  2 1 7
58.9  29  3 3 4
70.0  18  5 2 3

Cell and atoms:
```
data_MgPb5
_symmetry_space_group_name_H-M 'I 4/m c m'
_symmetry_Int_Tables_number 140
_symmetry_space_group_name_Hall '-I 4 2c'
_cell_length_a 7.623
_cell_length_b 7.623
_cell_length_c 12.824
_cell_angle_alpha 90.00
_cell_angle_beta 90.00
_cell_angle_gamma 90.00
loop_
_atom_site_label
_atom_site_type_symbol
_atom_site_fract_x
_atom_site_fract_y
_atom_site_fract_z
Mg1 Mg 0.000 0.000 0.250
Pb1 Pb 0.000 0.000 0.000
Pb2 Pb 0.154 0.346 0.141
```